Computed powder diffractogram
Compound: CrF5
Radiation: CuKα
Structure: the PBE+U geometry in Alexandria
Intensities are scaled so that the largest is 100.

Cell and atoms:
Lattice parameters (Å, degrees): 5.2292 5.2389 7.2803 98.05 110.28 108.70
Space group P-1 (No. 2)
Inequivalent atoms, fractional coordinates:
Cr (0.0000, 0.0000, 0.0000)
Cr (0.5000, 0.0000, 0.5000)
F (0.0354, 0.7169, 0.8653)
F (0.1540, 0.9018, 0.2493)
F (0.3226, 0.6799, 0.5399)
F (0.3487, 0.1707, 0.6322)
F (0.3601, 0.2157, 0.0381)

Peak list (10 most intense, 2θ from 10° to 90°, in order of rising 2θ)
| 2θ (°) | I_rel | (hkl) |
| --- | --- | --- |
| 18.66 | 100 | 0 1 0 |
| 23.46 | 25 | -1 1 1 |
| 26.73 | 17 | 1 -1 1 |
| 27.23 | 16 | 0 0 2 |
| 28.37 | 34 | 0 1 -2 |
| 29.28 | 8 | 1 1 -1 |
| 36.37 | 8 | 2 0 -1 |
| 47.97 | 9 | -2 2 2 |
| 51.36 | 8 | 1 2 -3 |
| 53.22 | 8 | 1 -2 3 |